Entry 1:
Simulated PXRD pattern of Ni3MoPd3 for copper Kα, from the GGA-PBE geometry in Alexandria.
Lines closer than 0.1° are merged.

Main lines, low angle first (2θ = 15–90°):
d [Å], intensity
3.077, 3
2.744, 5
2.326, 25
2.159, 27
2.048, 100
1.582, 14
1.343, 16
1.224, 18
1.140, 18
1.123, 13

Atomic structure:
a b c (Å): 7.1067 7.1067 4.3181
angles (deg): 90.00 90.00 120.00
Positions (direct):
Ni (0.1036, 0.4887, 0.2500)
Ni (0.3852, 0.8964, 0.2500)
Ni (0.4887, 0.3852, 0.7500)
Ni (0.5113, 0.6148, 0.2500)
Ni (0.6148, 0.1036, 0.7500)
Ni (0.8964, 0.5113, 0.7500)
Mo (0.3333, 0.6667, 0.7500)
Mo (0.6667, 0.3333, 0.2500)
Pd (0.0540, 0.2534, 0.7500)
Pd (0.1994, 0.9460, 0.7500)
Pd (0.2534, 0.1994, 0.2500)
Pd (0.7466, 0.8006, 0.7500)
Pd (0.8006, 0.0540, 0.2500)
Pd (0.9460, 0.7466, 0.2500)

Entry 2:
Simulated PXRD pattern of TbCe2Zn2Sn2 for copper Kα, from the GGA-PBE geometry in Alexandria.
Lines closer than 0.1° are merged.

Main lines, low angle first (2θ = 15–90°):
d [Å], intensity
3.890, 13
2.811, 100
2.622, 23
2.268, 66
1.791, 15
1.765, 25
1.447, 15
1.393, 23
1.309, 11
1.195, 8

Atomic structure:
a b c (Å): 9.7521 9.7521 9.7521
angles (deg): 26.89 26.89 26.89
Positions (direct):
Tb (0.0000, 0.0000, 0.0000)
Ce (0.1425, 0.1425, 0.1425)
Ce (0.8575, 0.8575, 0.8575)
Zn (0.4185, 0.4185, 0.4185)
Zn (0.5815, 0.5815, 0.5815)
Sn (0.2692, 0.2692, 0.2692)
Sn (0.7308, 0.7308, 0.7308)

Entry 3:
Simulated PXRD pattern of LiEr2B10 for copper Kα, from the GGA-PBE geometry in Alexandria.
Lines closer than 0.1° are merged.

Main lines, low angle first (2θ = 15–90°):
d [Å], intensity
4.127, 50
3.947, 72
2.852, 100
2.808, 18
2.774, 25
2.322, 23
2.302, 32
1.829, 28
1.780, 16
1.299, 16

Atomic structure:
a b c (Å): 5.6164 11.0951 4.1270
angles (deg): 90.00 90.00 90.00
Positions (direct):
Li (0.0000, 0.0000, 0.0000)
Li (0.5000, 0.5000, 0.0000)
Er (0.1973, 0.3623, 0.5000)
Er (0.3027, 0.8623, 0.5000)
Er (0.6973, 0.1377, 0.5000)
Er (0.8027, 0.6377, 0.5000)
B (0.0461, 0.1894, 0.0000)
B (0.1193, 0.5428, 0.0000)
B (0.1462, 0.6996, 0.0000)
B (0.2152, 0.1178, 0.3022)
B (0.2152, 0.1178, 0.6978)
B (0.2848, 0.6178, 0.3022)
B (0.2848, 0.6178, 0.6978)
B (0.3538, 0.1996, 0.0000)
B (0.3807, 0.0428, 0.0000)
B (0.4539, 0.6894, 0.0000)
B (0.5461, 0.3106, 0.0000)
B (0.6193, 0.9572, 0.0000)
B (0.6462, 0.8004, 0.0000)
B (0.7152, 0.3822, 0.3022)
B (0.7152, 0.3822, 0.6978)
B (0.7848, 0.8822, 0.3022)
B (0.7848, 0.8822, 0.6978)
B (0.8538, 0.3004, 0.0000)
B (0.8807, 0.4572, 0.0000)
B (0.9539, 0.8106, 0.0000)